Computed powder X-ray diffraction pattern
Compound: Ba2Mn2GaO6
Radiation: CuKα
Structure: a cell relaxed with PBE+U
Lines closer than 0.1° are merged.

Most intense lines, 2θ from 10° to 90°, by intensity:
- d = 3.002 Å, intensity 100
- d = 2.803 Å, intensity 84
- d = 1.692 Å, intensity 42
- d = 2.049 Å, intensity 32
- d = 1.733 Å, intensity 19
- d = 1.501 Å, intensity 18
- d = 1.323 Å, intensity 16
- d = 2.481 Å, intensity 15

Structural model:
```
data_Ba2Mn2GaO6
_cell_length_a 6.5416
_cell_length_b 6.5416
_cell_length_c 6.5416
_cell_angle_alpha 54.63
_cell_angle_beta 54.63
_cell_angle_gamma 54.63
_symmetry_space_group_name_H-M 'P 1'
_symmetry_Int_Tables_number 1
loop_
_symmetry_equiv_pos_as_xyz
'x,y,z'
loop_
_atom_site_label
_atom_site_fract_x
_atom_site_fract_y
_atom_site_fract_z
Ba1 0.2115 0.2115 0.2115
Ba2 0.7885 0.7885 0.7885
Mn1 0.4084 0.4084 0.4084
Mn2 0.5916 0.5916 0.5916
Ga1 0.0000 0.0000 0.0000
O1 0.2239 0.7706 0.7706
O2 0.2294 0.2294 0.7761
O3 0.2294 0.7761 0.2294
O4 0.7706 0.2239 0.7706
O5 0.7706 0.7706 0.2239
O6 0.7761 0.2294 0.2294
```